Starting from a cell relaxed with GGA-PBE, the powder diffractogram of Ac2Be2ZnO6 was simulated for Cu Kα (weighted mean of Kα1 and Kα2).
Kinematic intensities with the Lorentz-polarization factor, no thermal factor.

Cell and atoms:
```
11
Lattice="5.5381 0.0000 0.0000 -2.7690 4.7961 0.0000 0.0000 0.0000 5.9047" Properties=species:S:1:pos:R:3 pbc="T T T"
Ac 0.0000 3.1974 1.4295
Ac 2.7690 1.5987 4.4752
Be 0.0000 3.1974 4.5656
Be 2.7690 1.5987 1.3390
Zn 0.0000 0.0000 0.0000
O -0.3481 1.7222 4.6658
O -1.1035 4.2365 4.6658
O 1.3175 1.1626 1.2389
O 1.4516 3.6335 4.6658
O 3.8725 0.5597 1.2389
O 3.1171 3.0739 1.2389
```

The 6 most intense peaks (2θ = 15–90°), sorted by position:
23.90°, d = 3.723 Å, intensity 100.0
32.33°, d = 2.769 Å, intensity 47.7
35.71°, d = 2.514 Å, intensity 26.5
40.61°, d = 2.222 Å, intensity 41.8
44.88°, d = 2.020 Å, intensity 20.4
52.83°, d = 1.733 Å, intensity 28.6